Nb4BiPC2: computed PXRD pattern (a wavelength of 1.5418 Å), based on a DFT-relaxed cell (GGA-PBE, OQMD).
Lines closer than 0.1° are merged.

Main lines, low angle first (2θ from 5° to 70°):
h k l, 2θ/deg, I (rel.)
0 0 1, 6.9, 36.8
1 0 0, 31.0, 35.9
1 0 2, 34.1, 34.8
1 0 3, 37.6, 100.0
1 1 0, 55.1, 26.6
2 0 3, 68.6, 16.9

Crystal structure
Unit cell a=3.3338 b=3.3338 c=12.7984 alpha=90.00 beta=90.00 gamma=120.00
Space group P-6m2 (No. 187)
Symmetry-distinct sites (fractional):
Nb  0.0000  0.0000  0.1347 (multiplicity 2)
Nb  0.6667  0.3333  0.3121 (multiplicity 2)
Bi  0.0000  0.0000  0.5000 (multiplicity 1)
P  0.6667  0.3333  0.0000 (multiplicity 1)
C  0.3333  0.6667  0.2293 (multiplicity 2)

---

YHoTlNi2: computed PXRD pattern (a wavelength of 1.5418 Å), based on a DFT-relaxed cell (GGA-PBE, OQMD).
Lines closer than 0.1° are merged.

Main lines, low angle first (2θ from 5° to 70°):
h k l, 2θ/deg, I (rel.)
0 1 3, 29.7, 44.9
1 1 1, 34.3, 100.0
1 0 4, 34.9, 66.7
0 1 5, 38.9, 37.1
0 2 0, 47.1, 21.2
1 2 4, 59.9, 27.9

Crystal structure
Unit cell a=3.669 b=3.861 c=14.444 alpha=90.00 beta=90.00 gamma=90.00
Space group Amm2 (No. 38)
Symmetry-distinct sites (fractional):
Y  0.000  0.000  0.000 (multiplicity 2)
Ho  0.000  0.000  0.720 (multiplicity 2)
Tl  0.500  0.000  0.360 (multiplicity 2)
Ni  0.500  0.000  0.160 (multiplicity 2)
Ni  0.500  0.000  0.561 (multiplicity 2)

---

SmNi2Ir2Pt: computed PXRD pattern (a wavelength of 1.5418 Å), based on a DFT-relaxed cell (GGA-PBE, OQMD).
Lines closer than 0.1° are merged.

Main lines, low angle first (2θ from 5° to 70°):
h k l, 2θ/deg, I (rel.)
1 1 1, 29.5, 79.6
2 2 0, 39.7, 100.0
1 3 1, 40.6, 98.0
0 0 2, 44.6, 61.2
2 2 1, 45.7, 75.3
2 2 2, 61.1, 57.9

Crystal structure
Unit cell a=5.221 b=9.246 c=4.068 alpha=90.00 beta=90.00 gamma=90.00
Space group Cmmm (No. 65)
Symmetry-distinct sites (fractional):
Sm  0.000  0.000  0.000 (multiplicity 2)
Ni  0.000  0.331  0.000 (multiplicity 4)
Ir  0.250  0.250  0.500 (multiplicity 4)
Pt  0.000  0.500  0.500 (multiplicity 2)